Diffraction record for YLuMg2. The X-ray diffraction stick pattern is computed, not measured: it uses the PBE geometry in the Materials Project and CuKα.

a b c (Å): 7.543 7.543 7.543
angles (deg): 90.00 90.00 90.00
Fractional coordinates of all 16 atoms:
Y 0.000 0.000 0.000
Y 0.000 0.500 0.500
Y 0.500 0.000 0.500
Y 0.500 0.500 0.000
Lu 0.000 0.000 0.500
Lu 0.000 0.500 0.000
Lu 0.500 0.000 0.000
Lu 0.500 0.500 0.500
Mg 0.250 0.250 0.250
Mg 0.250 0.250 0.750
Mg 0.250 0.750 0.250
Mg 0.250 0.750 0.750
Mg 0.750 0.250 0.250
Mg 0.750 0.250 0.750
Mg 0.750 0.750 0.250
Mg 0.750 0.750 0.750

The 10 most intense peaks (2θ from 10° to 90°), by intensity:
| d (Å) | I_rel |
| --- | --- |
| 2.667 | 1000 |
| 3.771 | 556 |
| 1.540 | 369 |
| 1.687 | 231 |
| 1.886 | 179 |
| 2.177 | 169 |
| 1.193 | 157 |
| 4.355 | 148 |
| 1.333 | 113 |
| 1.257 | 110 |


Diffraction record for SnP2O9. The X-ray diffraction stick pattern is computed, not measured: it uses the PBE geometry in the Materials Project and CuKα.

a b c (Å): 5.108 5.108 14.863
angles (deg): 92.96 92.96 60.25
Fractional coordinates of all 24 atoms:
Sn 0.000 0.500 0.000
Sn 0.500 0.000 0.500
P 0.147 0.646 0.389
P 0.354 0.853 0.111
P 0.646 0.147 0.889
P 0.853 0.354 0.611
O 0.093 0.673 0.283
O 0.107 0.789 0.073
O 0.128 0.872 0.750
O 0.151 0.316 0.576
O 0.211 0.893 0.427
O 0.316 0.151 0.076
O 0.325 0.409 0.907
O 0.327 0.907 0.217
O 0.409 0.325 0.407
O 0.591 0.675 0.593
O 0.673 0.093 0.783
O 0.675 0.591 0.093
O 0.684 0.849 0.924
O 0.789 0.107 0.573
O 0.849 0.684 0.424
O 0.872 0.128 0.250
O 0.893 0.211 0.927
O 0.907 0.327 0.717

The 10 most intense peaks (2θ from 10° to 90°), by intensity:
| d (Å) | I_rel |
| --- | --- |
| 7.418 | 1000 |
| 3.351 | 730 |
| 3.696 | 642 |
| 4.282 | 588 |
| 2.535 | 219 |
| 2.501 | 150 |
| 1.647 | 148 |
| 2.107 | 140 |
| 4.410 | 132 |
| 2.564 | 131 |


Diffraction record for Rb4MgSe4O14. The X-ray diffraction stick pattern is computed, not measured: it uses the PBE geometry in the Materials Project and CuKα.

a b c (Å): 7.955 7.994 8.178
angles (deg): 92.09 90.57 114.42
Fractional coordinates of all 23 atoms:
Rb 0.000 0.000 0.000
Rb 0.019 0.487 0.247
Rb 0.239 0.937 0.566
Rb 0.498 0.543 0.793
Mg 0.613 0.776 0.277
Se 0.460 0.009 0.075
Se 0.501 0.399 0.315
Se 0.791 0.025 0.535
Se 0.973 0.457 0.782
O 0.075 0.368 0.911
O 0.116 0.556 0.632
O 0.288 0.918 0.204
O 0.383 0.044 0.898
O 0.390 0.518 0.224
O 0.408 0.324 0.495
O 0.564 0.872 0.499
O 0.574 0.869 0.057
O 0.624 0.209 0.160
O 0.713 0.581 0.341
O 0.772 0.289 0.698
O 0.872 0.997 0.343
O 0.883 0.936 0.673
O 0.903 0.600 0.885

The 10 most intense peaks (2θ from 10° to 90°), by intensity:
| d (Å) | I_rel |
| --- | --- |
| 3.633 | 1000 |
| 3.496 | 465 |
| 3.346 | 231 |
| 3.961 | 228 |
| 3.556 | 220 |
| 3.620 | 155 |
| 2.044 | 132 |
| 3.084 | 105 |
| 2.466 | 91 |
| 3.885 | 89 |